1.
Cs2AsPdSe4: simulated powder diffraction line list (Cu Kα (λ = 1.5418 Å)), based on a PBE-relaxed structure.
Lines closer than 0.1° are merged.

Atomic structure:
a b c (Å): 13.9957 12.5438 7.8828
angles (deg): 83.14 62.86 34.00
Positions (direct):
Cs: 0.0472 0.0472 0.7028
Cs: 0.2972 0.2972 0.9528
Cs: 0.7028 0.7028 0.0472
Cs: 0.9528 0.9528 0.2972
As: 0.3750 0.3750 0.3750
As: 0.6250 0.6250 0.6250
Pd: 0.1250 0.1250 0.1250
Pd: 0.8750 0.8750 0.8750
Se: 0.0012 0.6572 0.5508
Se: 0.2909 0.5508 0.6572
Se: 0.3428 0.9988 0.7091
Se: 0.4492 0.7091 0.9988
Se: 0.5508 0.2909 0.0012
Se: 0.6572 0.0012 0.2909
Se: 0.7091 0.4492 0.3428
Se: 0.9988 0.3428 0.4492

Most intense lines, 15 to 90 degrees two-theta, in order of rising 2θ:
2θ (°)  I (rel.)
23.12  21
25.43  100
28.87  23
29.47  45
29.66  18
34.34  33
43.00  20
46.62  24
52.30  15
54.43  17

***

2.
Dy2TlRh3: simulated powder diffraction line list (Cu Kα (λ = 1.5418 Å)), based on a PBE-relaxed structure.
Lines closer than 0.1° are merged.

Atomic structure:
a b c (Å): 4.7692 4.7692 11.6911
angles (deg): 90.00 90.00 120.00
Positions (direct):
Dy: 0.0000 0.0000 0.0000
Dy: 0.0000 0.0000 0.5000
Dy: 0.3333 0.6667 0.1779
Dy: 0.6667 0.3333 0.8221
Tl: 0.3333 0.6667 0.6661
Tl: 0.6667 0.3333 0.3339
Rh: 0.0000 0.0000 0.2478
Rh: 0.0000 0.0000 0.7522
Rh: 0.3333 0.6667 0.4214
Rh: 0.3333 0.6667 0.9185
Rh: 0.6667 0.3333 0.0815
Rh: 0.6667 0.3333 0.5786

Most intense lines, 15 to 90 degrees two-theta, in order of rising 2θ:
2θ (°)  I (rel.)
22.83  1
26.42  7
37.71  100
44.53  1
46.64  2
54.40  17
61.47  3
68.09  35
80.55  11
86.57  1

***

3.
HOs8: simulated powder diffraction line list (Cu Kα (λ = 1.5418 Å)), based on a PBE-relaxed structure.
Lines closer than 0.1° are merged.

Atomic structure:
a b c (Å): 5.5562 5.5562 4.3608
angles (deg): 90.00 90.00 120.00
Positions (direct):
H: 0.0000 0.0000 0.0000
Os: 0.1711 0.3422 0.7468
Os: 0.1711 0.8289 0.7468
Os: 0.3333 0.6667 0.2491
Os: 0.3422 0.1711 0.2532
Os: 0.6578 0.8289 0.7468
Os: 0.6667 0.3333 0.7509
Os: 0.8289 0.1711 0.2532
Os: 0.8289 0.6578 0.2532

Most intense lines, 15 to 90 degrees two-theta, in order of rising 2θ:
2θ (°)  I (rel.)
37.38  24
41.41  25
42.93  100
57.00  15
67.42  18
76.58  19
79.71  3
82.30  21
83.33  15

***

4.
Ag2AsPS4: simulated powder diffraction line list (Cu Kα (λ = 1.5418 Å)), based on a PBE-relaxed structure.
Lines closer than 0.1° are merged.

Atomic structure:
a b c (Å): 5.7434 5.8463 6.1188
angles (deg): 96.68 96.95 90.96
Positions (direct):
Ag: 0.0000 0.0000 0.0000
Ag: 0.0167 0.9633 0.4969
As: 0.3581 0.5528 0.8485
P: 0.5652 0.3054 0.3456
S: 0.2395 0.3670 0.1375
S: 0.3955 0.2017 0.6189
S: 0.6521 0.9726 0.2248
S: 0.9903 0.6386 0.7369

Most intense lines, 15 to 90 degrees two-theta, in order of rising 2θ:
2θ (°)  I (rel.)
15.27  61
15.55  79
21.51  89
22.20  100
30.81  37
31.79  81
34.06  49
34.64  33
36.82  31
50.26  43

***

5.
Ce2Pr5Sn4: simulated powder diffraction line list (Cu Kα (λ = 1.5418 Å)), based on a PBE-relaxed structure.
Lines closer than 0.1° are merged.

Atomic structure:
a b c (Å): 11.3754 11.3754 8.0098
angles (deg): 95.50 95.50 20.87
Positions (direct):
Ce: 0.2467 0.2467 0.1086
Ce: 0.7533 0.7533 0.8914
Pr: 0.0000 0.0000 0.5000
Pr: 0.3284 0.3284 0.5559
Pr: 0.3803 0.3803 0.1333
Pr: 0.6197 0.6197 0.8667
Pr: 0.6716 0.6716 0.4441
Sn: 0.1098 0.1098 0.1732
Sn: 0.4788 0.4788 0.8098
Sn: 0.5212 0.5212 0.1902
Sn: 0.8902 0.8902 0.8268

Most intense lines, 15 to 90 degrees two-theta, in order of rising 2θ:
2θ (°)  I (rel.)
24.82  50
27.48  63
27.65  45
31.21  100
31.77  40
32.16  33
32.71  38
33.73  57
36.58  88
43.96  82

***

6.
Cs3NpAu2S6: simulated powder diffraction line list (Cu Kα (λ = 1.5418 Å)), based on a PBE-relaxed structure.
Lines closer than 0.1° are merged.

Atomic structure:
a b c (Å): 7.5813 7.5813 8.9870
angles (deg): 90.00 90.00 120.00
Positions (direct):
Cs: 0.0000 0.0000 0.0000
Cs: 0.3333 0.6667 0.7022
Cs: 0.6667 0.3333 0.2978
Np: 0.0000 0.0000 0.5000
Au: 0.3333 0.6667 0.3187
Au: 0.6667 0.3333 0.6813
S: 0.1527 0.3054 0.3207
S: 0.1527 0.8473 0.3207
S: 0.3054 0.1527 0.6793
S: 0.6946 0.8473 0.3207
S: 0.8473 0.1527 0.6793
S: 0.8473 0.6946 0.6793

Most intense lines, 15 to 90 degrees two-theta, in order of rising 2θ:
2θ (°)  I (rel.)
23.47  100
24.00  72
25.50  18
33.82  38
40.78  13
41.25  23
41.57  40
48.00  23
54.36  16
65.11  13